No. 1
The following is a calculated powder XRD pattern of Li5Mn5V2O12. It was derived from a DFT-relaxed cell (PBE+U, the Materials Project), using Cu Kα, 1.54184 Å.

Unit cell a=5.2378 b=9.0936 c=9.9593 alpha=90.00 beta=98.98 gamma=90.00
Space group C2 (No. 5)
One atom of each set of equivalent atoms:
Li  0.0000  0.0000  0.0000 (multiplicity 2)
Li  0.2386  0.8293  0.2459 (multiplicity 4)
Li  0.2481  0.5010  0.2457 (multiplicity 4)
Mn  0.0000  0.3388  0.0000 (multiplicity 2)
Mn  0.0000  0.4907  0.5000 (multiplicity 2)
Mn  0.0000  0.8357  0.5000 (multiplicity 2)
Mn  0.2463  0.1622  0.2471 (multiplicity 4)
V  0.0000  0.1632  0.5000 (multiplicity 2)
V  0.0000  0.6663  0.0000 (multiplicity 2)
O  0.1249  0.0072  0.3699 (multiplicity 4)
O  0.1257  0.3179  0.3713 (multiplicity 4)
O  0.1263  0.5131  0.8772 (multiplicity 4)
O  0.1329  0.8159  0.8746 (multiplicity 4)
O  0.1452  0.6628  0.3832 (multiplicity 4)
O  0.1669  0.1687  0.8889 (multiplicity 4)

The 10 most intense peaks (10° ≤ 2θ ≤ 80°), by intensity:
- hkl 1 3 -3, 2θ 42.48, rel. 100.0
- hkl 2 0 2, 2θ 41.92, rel. 51.2
- hkl 1 3 5, 2θ 61.14, rel. 40.8
- hkl 1 1 1, 2θ 22.83, rel. 32.2
- hkl 0 0 2, 2θ 18.03, rel. 31.0
- hkl 3 3 -1, 2θ 61.28, rel. 27.3
- hkl 1 3 1, 2θ 36.23, rel. 20.8
- hkl 0 2 0, 2θ 19.52, rel. 20.8
- hkl 1 1 -1, 2θ 20.57, rel. 15.3
- hkl 2 0 -6, 2θ 62.12, rel. 13.6

***

No. 2
The following is a calculated powder XRD pattern of K2MgMn2P6H2O20. It was derived from a DFT-relaxed cell (PBE+U, the Materials Project), using Cu Kα, 1.54184 Å.

Unit cell a=7.3257 b=7.4469 c=9.4648 alpha=76.01 beta=74.77 gamma=75.61
Space group P1 (No. 1)
One atom of each set of equivalent atoms:
K  0.0000  0.0000  0.0000 (multiplicity 1)
K  0.0945  0.9230  0.4726 (multiplicity 1)
Mg  0.4376  0.5329  0.7474 (multiplicity 1)
Mn  0.0374  0.4446  0.2926 (multiplicity 1)
Mn  0.5359  0.9380  0.7802 (multiplicity 1)
P  0.2537  0.2793  0.5983 (multiplicity 1)
P  0.4027  0.1429  0.0948 (multiplicity 1)
P  0.4294  0.5498  0.0549 (multiplicity 1)
P  0.6551  0.6929  0.4746 (multiplicity 1)
P  0.6658  0.2713  0.4897 (multiplicity 1)
P  0.8357  0.6057  0.9735 (multiplicity 1)
H  0.0311  0.4406  0.8093 (multiplicity 1)
H  0.5603  0.9269  0.2506 (multiplicity 1)
O  0.0967  0.3266  0.5123 (multiplicity 1)
O  0.2208  0.1817  0.2117 (multiplicity 1)
O  0.2445  0.4349  0.6889 (multiplicity 1)
O  0.2716  0.0841  0.6972 (multiplicity 1)
O  0.2875  0.5695  0.1972 (multiplicity 1)
O  0.3848  0.0555  0.9723 (multiplicity 1)
O  0.3887  0.6826  0.9103 (multiplicity 1)
O  0.4547  0.2815  0.4671 (multiplicity 1)
O  0.4620  0.3490  0.0010 (multiplicity 1)
O  0.5135  0.7753  0.3730 (multiplicity 1)
O  0.5753  0.7504  0.6289 (multiplicity 1)
O  0.5860  0.0416  0.1600 (multiplicity 1)
O  0.6339  0.5545  0.0788 (multiplicity 1)
O  0.6347  0.4638  0.5526 (multiplicity 1)
O  0.7122  0.1128  0.6167 (multiplicity 1)
O  0.7954  0.7916  0.8676 (multiplicity 1)
O  0.8086  0.2808  0.3435 (multiplicity 1)
O  0.8653  0.6928  0.4035 (multiplicity 1)
O  0.9080  0.4316  0.8883 (multiplicity 1)
O  0.9617  0.5999  0.0775 (multiplicity 1)

The 10 most intense peaks (10° ≤ 2θ ≤ 80°), by intensity:
- hkl 1 -1 2, 2θ 27.72, rel. 100.0
- hkl 0 1 1, 2θ 14.38, rel. 87.8
- hkl 1 1 2, 2θ 21.15, rel. 84.9
- hkl 0 2 -1, 2θ 28.80, rel. 40.4
- hkl 2 0 -1, 2θ 29.58, rel. 39.5
- hkl 2 2 0, 2θ 32.38, rel. 38.1
- hkl 1 1 0, 2θ 16.03, rel. 38.1
- hkl 2 0 1, 2θ 25.48, rel. 36.2
- hkl 1 0 0, 2θ 12.78, rel. 32.4
- hkl 0 2 2, 2θ 29.02, rel. 32.0

***

No. 3
The following is a calculated powder XRD pattern of Li3V2Si2O10. It was derived from a DFT-relaxed cell (PBE+U, the Materials Project), using Cu Kα, 1.54184 Å.

Unit cell a=9.0389 b=9.0085 c=9.1385 alpha=90.00 beta=90.00 gamma=90.00
Space group Cmce (No. 64)
One atom of each set of equivalent atoms:
Li  0.0000  0.0000  0.0000 (multiplicity 4)
Li  0.2500  0.2500  0.0000 (multiplicity 8)
V  0.0000  0.2416  0.2975 (multiplicity 8)
Si  0.2500  0.0005  0.7500 (multiplicity 8)
O  0.0000  0.2307  0.1163 (multiplicity 8)
O  0.1449  0.1033  0.8561 (multiplicity 16)
O  0.1509  0.1078  0.3566 (multiplicity 16)

The 10 most intense peaks (10° ≤ 2θ ≤ 80°), by intensity:
- hkl 2 2 0, 2θ 27.97, rel. 100.0
- hkl 0 0 2, 2θ 19.43, rel. 89.6
- hkl 2 2 2, 2θ 34.28, rel. 78.1
- hkl 1 1 2, 2θ 23.95, rel. 45.5
- hkl 1 1 4, 2θ 42.01, rel. 26.5
- hkl 4 4 0, 2θ 57.80, rel. 25.8
- hkl 3 3 2, 2θ 47.13, rel. 21.1
- hkl 3 1 6, 2θ 70.02, rel. 19.0
- hkl 4 2 0, 2θ 44.87, rel. 14.3
- hkl 6 0 0, 2θ 61.57, rel. 13.1

***

No. 4
The following is a calculated powder XRD pattern of Li3Cr2P3O12. It was derived from a DFT-relaxed cell (PBE+U, the Materials Project), using Cu Kα, 1.54184 Å.

Unit cell a=14.7756 b=8.7596 c=8.5529 alpha=90.00 beta=123.96 gamma=90.00
Space group C2 (No. 5)
One atom of each set of equivalent atoms:
Li  0.0000  0.0000  0.0000 (multiplicity 2)
Li  0.0000  0.3042  0.5000 (multiplicity 2)
Li  0.2030  0.6970  0.9038 (multiplicity 4)
Li  0.2491  0.8967  0.2776 (multiplicity 4)
Cr  0.1045  0.4004  0.8946 (multiplicity 4)
Cr  0.1083  0.8974  0.3921 (multiplicity 4)
P  0.0000  0.6105  0.5000 (multiplicity 2)
P  0.0000  0.6949  0.0000 (multiplicity 2)
P  0.1433  0.0442  0.7915 (multiplicity 4)
P  0.1487  0.2510  0.2977 (multiplicity 4)
O  0.0408  0.3058  0.2684 (multiplicity 4)
O  0.0419  0.9854  0.7801 (multiplicity 4)
O  0.0653  0.6009  0.9443 (multiplicity 4)
O  0.0688  0.7051  0.4558 (multiplicity 4)
O  0.0841  0.5003  0.6627 (multiplicity 4)
O  0.0855  0.8038  0.1581 (multiplicity 4)
O  0.1440  0.0076  0.6196 (multiplicity 4)
O  0.1534  0.0732  0.2956 (multiplicity 4)
O  0.1590  0.2222  0.8153 (multiplicity 4)
O  0.1608  0.2954  0.1356 (multiplicity 4)
O  0.2389  0.3197  0.4882 (multiplicity 4)
O  0.2402  0.9766  0.9828 (multiplicity 4)

The 10 most intense peaks (10° ≤ 2θ ≤ 80°), by intensity:
- hkl 2 2 -1, 2θ 24.06, rel. 100.0
- hkl 3 1 -1, 2θ 20.72, rel. 51.8
- hkl 4 0 0, 2θ 29.18, rel. 32.0
- hkl 0 2 0, 2θ 20.31, rel. 24.2
- hkl 5 1 -1, 2θ 32.94, rel. 22.9
- hkl 2 0 2, 2θ 35.57, rel. 21.8
- hkl 2 0 0, 2θ 14.47, rel. 17.9
- hkl 1 3 0, 2θ 31.52, rel. 13.0
- hkl 3 1 -3, 2θ 33.05, rel. 10.7
- hkl 5 3 -3, 2θ 47.18, rel. 9.7